1.
Starting from DFT lattice parameters and positions (GGA-PBE), the X-ray diffraction stick pattern of NaAuS5 was calculated for Cu Kα.

Top 8 peaks for 2θ = 15–90°, in order of rising 2θ:
2θ (°)	Rel. int.
15.4	457
16.0	1000
19.3	656
19.8	679
22.1	668
23.6	385
27.8	258
30.8	298

Cell and atoms:
```
NaAuS5
1.0
5.710 0.000 0.000
0.365 7.621 0.000
2.158 0.445 9.220
Na Au S
2 2 10
direct
0.016 0.331 0.339
0.984 0.669 0.661
0.500 0.000 0.500
0.500 0.500 0.000
0.003 0.709 0.344
0.280 0.239 0.040
0.356 0.274 0.617
0.379 0.783 0.919
0.496 0.722 0.623
0.504 0.278 0.377
0.621 0.217 0.081
0.644 0.726 0.383
0.720 0.761 0.960
0.997 0.291 0.656
```

2.
Starting from DFT lattice parameters and positions (GGA-PBE), the X-ray diffraction stick pattern of Na5AuS3 was calculated for Cu Kα.

Top 8 peaks for 2θ = 15–90°, in order of rising 2θ:
2θ (°)	Rel. int.
19.3	452
22.0	1000
26.0	512
27.4	285
28.7	382
31.9	727
36.6	316
37.6	326

Cell and atoms:
```
Na5AuS3
1.0
6.972 -3.535 0.000
6.972 3.535 0.000
-3.510 0.000 9.185
Na Au S
10 2 6
direct
0.086 0.914 0.750
0.111 0.584 0.411
0.114 0.587 0.938
0.413 0.886 0.562
0.416 0.889 0.089
0.584 0.111 0.911
0.587 0.114 0.438
0.886 0.413 0.062
0.889 0.416 0.589
0.914 0.086 0.250
0.493 0.507 0.250
0.507 0.493 0.750
0.000 0.000 0.000
0.000 0.000 0.500
0.316 0.326 0.660
0.326 0.316 0.160
0.674 0.684 0.840
0.684 0.674 0.340
```

3.
Starting from DFT lattice parameters and positions (GGA-PBE), the X-ray diffraction stick pattern of Na3Zr2AuS6 was calculated for Cu Kα.

Top 8 peaks for 2θ = 15–90°, in order of rising 2θ:
2θ (°)	Rel. int.
25.6	259
27.3	303
28.4	244
31.2	499
32.9	1000
42.9	193
45.5	337
46.5	301

Cell and atoms:
```
Na3Zr2AuS6
1.0
8.769 -1.883 0.000
8.769 1.883 0.000
-1.540 0.000 7.738
Na Zr Au S
3 2 1 6
direct
0.000 0.000 0.000
0.353 0.353 0.660
0.647 0.647 0.340
0.333 0.333 0.175
0.667 0.667 0.825
0.000 0.000 0.500
0.171 0.171 0.063
0.189 0.189 0.625
0.477 0.477 0.267
0.523 0.523 0.733
0.811 0.811 0.375
0.829 0.829 0.937
```

4.
Starting from DFT lattice parameters and positions (GGA-PBE), the X-ray diffraction stick pattern of NaSb4Au4 was calculated for Cu Kα.

Top 8 peaks for 2θ = 15–90°, in order of rising 2θ:
2θ (°)	Rel. int.
19.5	484
31.0	1000
32.4	623
38.1	290
42.0	227
43.1	655
44.4	271
47.7	356

Cell and atoms:
```
NaSb4Au4
1.0
9.117 0.000 0.000
0.000 9.117 0.000
0.000 0.000 5.803
Na Sb Au
2 8 8
direct
0.250 0.250 0.250
0.750 0.750 0.750
0.090 0.879 0.642
0.121 0.590 0.142
0.379 0.910 0.142
0.410 0.621 0.642
0.590 0.379 0.358
0.621 0.090 0.858
0.879 0.410 0.858
0.910 0.121 0.358
0.047 0.880 0.144
0.120 0.547 0.644
0.380 0.953 0.644
0.453 0.620 0.144
0.547 0.380 0.856
0.620 0.047 0.356
0.880 0.453 0.356
0.953 0.120 0.856
```

5.
Starting from DFT lattice parameters and positions (GGA-PBE), the X-ray diffraction stick pattern of NaSbAu was calculated for Cu Kα.

Top 8 peaks for 2θ = 15–90°, in order of rising 2θ:
2θ (°)	Rel. int.
21.4	776
24.7	721
32.9	929
37.6	1000
45.5	863
50.8	274
64.7	403
64.9	262

Cell and atoms:
```
NaSbAu
1.0
4.785 0.000 0.000
-2.392 4.144 0.000
0.000 0.000 3.606
Na Sb Au
1 1 1
direct
0.000 0.000 0.000
0.667 0.333 0.500
0.333 0.667 0.500
```

6.
Starting from DFT lattice parameters and positions (GGA-PBE), the X-ray diffraction stick pattern of Na6SbAu was calculated for Cu Kα.

Top 8 peaks for 2θ = 15–90°, in order of rising 2θ:
2θ (°)	Rel. int.
15.0	556
22.3	979
26.1	459
30.3	255
33.1	250
34.6	1000
42.7	254
43.9	392

Cell and atoms:
```
Na6SbAu
1.0
6.817 0.000 0.000
-3.408 5.903 0.000
0.000 0.000 5.407
Na Sb Au
6 1 1
direct
0.018 0.509 0.000
0.317 0.158 0.500
0.491 0.509 0.000
0.491 0.982 0.000
0.842 0.158 0.500
0.842 0.683 0.500
0.333 0.667 0.500
0.000 0.000 0.000
```

7.
Starting from DFT lattice parameters and positions (GGA-PBE), the X-ray diffraction stick pattern of NaSc2Au3 was calculated for Cu Kα.

Top 8 peaks for 2θ = 15–90°, in order of rising 2θ:
2θ (°)	Rel. int.
24.7	275
26.3	619
36.4	1000
37.6	548
42.8	146
45.5	233
54.2	189
67.0	333

Cell and atoms:
```
NaSc2Au3
1.0
3.386 0.000 0.000
0.000 3.386 0.000
0.000 0.000 10.801
Na Sc Au
1 2 3
direct
0.000 0.000 0.000
0.000 0.000 0.338
0.000 0.000 0.662
0.500 0.500 0.196
0.500 0.500 0.500
0.500 0.500 0.804
```

8.
Starting from DFT lattice parameters and positions (GGA-PBE), the X-ray diffraction stick pattern of NaScAuSe2 was calculated for Cu Kα.

Top 8 peaks for 2θ = 15–90°, in order of rising 2θ:
2θ (°)	Rel. int.
22.3	416
24.8	571
26.4	567
32.1	1000
35.0	626
38.5	498
43.2	308
45.5	322

Cell and atoms:
```
NaScAuSe2
1.0
6.847 0.000 0.000
0.000 4.935 0.000
-1.016 0.000 7.188
Na Sc Au Se
2 2 2 4
direct
0.000 0.112 0.250
0.000 0.888 0.750
0.500 0.496 0.750
0.500 0.504 0.250
0.500 0.000 0.000
0.500 0.000 0.500
0.226 0.352 0.966
0.226 0.648 0.466
0.774 0.352 0.534
0.774 0.648 0.034
```

9.
Starting from DFT lattice parameters and positions (GGA-PBE), the X-ray diffraction stick pattern of NaAuSe was calculated for Cu Kα.

Top 8 peaks for 2θ = 15–90°, in order of rising 2θ:
2θ (°)	Rel. int.
17.9	638
18.3	1000
31.5	475
35.3	293
35.6	665
37.2	244
47.8	263
48.6	344

Cell and atoms:
```
NaAuSe
1.0
9.937 0.000 0.000
0.000 5.922 0.000
0.000 0.000 5.536
Na Au Se
4 4 4
direct
0.132 0.250 0.037
0.368 0.750 0.537
0.632 0.250 0.463
0.868 0.750 0.963
0.000 0.000 0.500
0.000 0.500 0.500
0.500 0.000 0.000
0.500 0.500 0.000
0.131 0.750 0.226
0.369 0.250 0.726
0.631 0.750 0.274
0.869 0.250 0.774
```

10.
Starting from DFT lattice parameters and positions (GGA-PBE), the X-ray diffraction stick pattern of Na3AuSe4 was calculated for Cu Kα.

Top 8 peaks for 2θ = 15–90°, in order of rising 2θ:
2θ (°)	Rel. int.
17.2	1000
27.4	321
34.8	365
35.1	169
35.9	159
36.4	204
45.7	163
47.7	164

Cell and atoms:
```
Na3AuSe4
1.0
8.324 0.000 0.000
0.000 8.594 0.000
0.000 0.000 6.568
Na Au Se
6 2 8
direct
0.000 0.020 0.000
0.234 0.450 0.916
0.266 0.550 0.416
0.500 0.980 0.500
0.734 0.550 0.416
0.766 0.450 0.916
0.000 0.127 0.522
0.500 0.873 0.022
0.000 0.401 0.608
0.000 0.840 0.510
0.233 0.799 0.736
0.267 0.201 0.236
0.500 0.160 0.010
0.500 0.599 0.108
0.733 0.201 0.236
0.767 0.799 0.736
```

11.
Starting from DFT lattice parameters and positions (GGA-PBE), the X-ray diffraction stick pattern of Na4AuSe3 was calculated for Cu Kα.

Top 8 peaks for 2θ = 15–90°, in order of rising 2θ:
2θ (°)	Rel. int.
15.2	1000
15.9	351
19.0	527
21.2	282
22.6	359
31.1	403
32.2	405
38.6	388

Cell and atoms:
```
Na4AuSe3
1.0
6.026 -4.073 0.000
6.026 4.073 0.000
-3.451 0.000 8.295
Na Au Se
8 2 6
direct
0.078 0.922 0.500
0.196 0.449 0.173
0.291 0.728 0.833
0.449 0.196 0.673
0.541 0.792 0.321
0.728 0.291 0.333
0.792 0.541 0.821
0.922 0.078 0.000
0.072 0.506 0.505
0.506 0.072 0.005
0.149 0.168 0.835
0.168 0.149 0.335
0.438 0.558 0.529
0.558 0.438 0.029
0.798 0.827 0.144
0.827 0.798 0.644
```

12.
Starting from DFT lattice parameters and positions (GGA-PBE), the X-ray diffraction stick pattern of NaAuSe3 was calculated for Cu Kα.

Top 8 peaks for 2θ = 15–90°, in order of rising 2θ:
2θ (°)	Rel. int.
15.3	212
17.7	1000
26.2	431
28.5	258
36.2	374
36.4	327
44.1	221
47.5	214

Cell and atoms:
```
NaAuSe3
1.0
6.488 0.000 0.000
0.000 8.107 0.000
-3.405 0.000 11.585
Na Au Se
4 4 12
direct
0.216 0.216 0.429
0.216 0.284 0.929
0.784 0.716 0.071
0.784 0.784 0.571
0.485 0.006 0.757
0.485 0.494 0.257
0.515 0.506 0.743
0.515 0.994 0.243
0.239 0.607 0.075
0.239 0.893 0.575
0.265 0.237 0.188
0.265 0.263 0.688
0.348 0.617 0.545
0.348 0.883 0.045
0.652 0.117 0.955
0.652 0.383 0.455
0.735 0.737 0.312
0.735 0.763 0.812
0.761 0.107 0.425
0.761 0.393 0.925
```

13.
Starting from DFT lattice parameters and positions (GGA-PBE), the X-ray diffraction stick pattern of Na2SiAuSe4 was calculated for Cu Kα.

Top 8 peaks for 2θ = 15–90°, in order of rising 2θ:
2θ (°)	Rel. int.
16.9	830
24.0	217
29.5	1000
34.3	263
38.5	278
45.8	428
45.9	180
52.5	182

Cell and atoms:
```
Na2SiAuSe4
1.0
-3.695 3.695 3.715
3.695 -3.695 3.715
3.695 3.695 -3.715
Na Si Au Se
2 1 1 4
direct
0.000 0.000 0.000
0.750 0.250 0.500
0.250 0.750 0.500
0.500 0.500 0.000
0.252 0.721 0.133
0.279 0.412 0.531
0.588 0.119 0.867
0.881 0.748 0.469
```